# CaAl3Au6
Calculated powder diffraction line list, Cu Kα (weighted mean of Kα1 and Kα2). Input: DFT lattice parameters and positions (PBE).
No peak broadening, texture or thermal motion is included.

Cell and atoms:
```
data_CaAl3Au6
_chemical_formula_sum 'Ca1 Al3 Au6'
_cell_length_a 6.1363
_cell_length_b 6.1881
_cell_length_c 6.2458
_cell_angle_alpha 106.57
_cell_angle_beta 103.50
_cell_angle_gamma 110.53
_symmetry_space_group_name_H-M 'P 1'
_symmetry_Int_Tables_number 1
_symmetry_space_group_name_Hall 'P 1'
loop_
_atom_site_label
_atom_site_type_symbol
_atom_site_fract_x
_atom_site_fract_y
_atom_site_fract_z
Ca1 Ca 0.0000 0.0000 0.0000
Al1 Al 0.1796 0.5527 0.9654
Al2 Al 0.3592 0.9804 0.5099
Al3 Al 0.6599 0.7002 0.3755
Au1 Au 0.0295 0.1388 0.5296
Au2 Au 0.4419 0.6844 0.6820
Au3 Au 0.4843 0.3509 0.9477
Au4 Au 0.5278 0.0056 0.1688
Au5 Au 0.7633 0.4357 0.6342
Au6 Au 0.9768 0.5027 0.2715
```

The 10 most intense peaks (15° ≤ 2θ ≤ 90°), low angle first:
| two_theta | intensity |
| --- | --- |
| 18.3 | 55 |
| 24.2 | 58 |
| 30.2 | 51 |
| 31.0 | 58 |
| 31.9 | 69 |
| 38.6 | 100 |
| 39.0 | 89 |
| 40.0 | 77 |
| 41.4 | 58 |
| 44.8 | 51 |